Record 1
Diffraction record for KZnIrAuO. The powder XRD pattern is computed, not measured: it uses a PBE-relaxed structure and Cu Kα, 1.54184 Å.
No peak broadening, texture or thermal motion is included.

Structure:
```
data_KZnIrAuO
_space_group_name_H-M_alt 'A m m 2'
_space_group_IT_number 38
_space_group_name_Hall 'A 2 -2'
_cell_length_a 2.844
_cell_length_b 4.500
_cell_length_c 15.682
_cell_angle_alpha 90.00
_cell_angle_beta 90.00
_cell_angle_gamma 90.00
loop_
_atom_site_label
_atom_site_fract_x
_atom_site_fract_y
_atom_site_fract_z
_atom_site_occupancy
K1 0.000 0.000 0.000 1
Zn1 0.000 0.000 0.346 1
Ir1 0.500 0.000 0.208 1
Au1 0.000 0.000 0.692 1
O1 0.500 0.000 0.429 1
```

The 10 most intense peaks (15 to 90 degrees two-theta), most intense first:
41.33 deg, intensity 100, (1 1 3); 37.86 deg, intensity 62, (1 1 1); 22.68 deg, intensity 61, (0 0 4); 47.66 deg, intensity 38, (1 1 5); 34.31 deg, intensity 33, (0 0 6); 40.07 deg, intensity 31, (0 2 0); 41.76 deg, intensity 22, (0 2 2); 73.65 deg, intensity 22, (1 3 3); 53.75 deg, intensity 19, (0 2 6); 46.53 deg, intensity 18, (0 2 4)

=====

Record 2
Diffraction record for La8Ir3PdAu4. The powder XRD pattern is computed, not measured: it uses a PBE-relaxed structure and Cu Kα, 1.54184 Å.
No peak broadening, texture or thermal motion is included.

Structure:
```
data_La8Ir3PdAu4
_space_group_name_H-M_alt 'R -3 m'
_space_group_IT_number 166
_space_group_name_Hall '-R 3 2"'
_cell_length_a 8.5297
_cell_length_b 8.5297
_cell_length_c 21.6430
_cell_angle_alpha 90.00
_cell_angle_beta 90.00
_cell_angle_gamma 120.00
loop_
_atom_site_label
_atom_site_fract_x
_atom_site_fract_y
_atom_site_fract_z
_atom_site_occupancy
La1 0.0000 0.0000 0.2399 1
La2 0.0090 0.5045 0.7592 1
Ir1 0.0000 0.5000 0.5000 1
Pd1 0.0000 0.0000 0.5000 1
Au1 0.0000 0.0000 0.0000 1
Au2 0.0000 0.5000 0.0000 1
```

The 10 most intense peaks (15 to 90 degrees two-theta), most intense first:
29.28 deg, intensity 100, (0 2 4); 42.39 deg, intensity 38, (2 2 0); 41.37 deg, intensity 37, (2 0 8); 52.35 deg, intensity 20, (4 0 4); 69.54 deg, intensity 17, (2 4 4); 68.09 deg, intensity 15, (2 2 12); 76.84 deg, intensity 12, (4 2 8); 60.72 deg, intensity 12, (0 4 8); 77.54 deg, intensity 6, (6 0 0); 50.61 deg, intensity 6, (0 0 12)